Diffraction record for CaCr2O4. The powder XRD pattern is calculated, not measured: it uses the PBE+U geometry in Alexandria and Cu Kα, 1.54184 Å.
Lines closer than 0.1° are merged.

The 8 most intense peaks (10° ≤ 2θ ≤ 90°), most intense first:
index	2θ/deg	d [Å]	I_rel
2 0 1	33.7	2.657	100
2 0 4	40.9	2.206	41
2 1 5	54.1	1.697	40
1 0 5	33.6	2.668	34
2 2 0	59.4	1.556	34
0 2 8	59.1	1.563	32
0 1 1	17.4	5.085	25
0 1 4	28.5	3.127	20

abc: 6.2231 6.2231 15.3569
angles: 90.00 90.00 120.00
Space group P3m1 (No. 156)
Asymmetric unit:
Ca 0.0000 0.0000 0.0000 [1 per cell]
Ca 0.0000 0.0000 0.2441 [1 per cell]
Ca 0.3333 0.6667 0.5772 [1 per cell]
Ca 0.6667 0.3333 0.2856 [1 per cell]
Ca 0.6667 0.3333 0.6630 [1 per cell]
Ca 0.6667 0.3333 0.9107 [1 per cell]
Cr 0.0000 0.0000 0.6245 [1 per cell]
Cr 0.1670 0.3340 0.7879 [3 per cell]
Cr 0.3258 0.1629 0.4581 [3 per cell]
Cr 0.3333 0.6667 0.3358 [1 per cell]
Cr 0.3333 0.6667 0.9533 [1 per cell]
Cr 0.5004 0.0008 0.1179 [3 per cell]
O 0.0000 0.0000 0.3923 [1 per cell]
O 0.0000 0.0000 0.8535 [1 per cell]
O 0.9997 0.4999 0.3873 [3 per cell]
O 0.0492 0.5246 0.8629 [3 per cell]
O 0.1398 0.2797 0.5337 [3 per cell]
O 0.1939 0.3878 0.0415 [3 per cell]
O 0.2845 0.1423 0.7107 [3 per cell]
O 0.3333 0.6667 0.1996 [1 per cell]
O 0.3333 0.6667 0.7211 [1 per cell]
O 0.3630 0.1815 0.1851 [3 per cell]
O 0.6667 0.3333 0.0524 [1 per cell]
O 0.6667 0.3333 0.5178 [1 per cell]